(1)
For Pu4Bi3Te, a structure optimized by DFT (PBE) gives the simulated X-ray diffraction stick pattern in this record (a wavelength of 1.5418 Å).

```
Pu4Bi3Te
1.0
7.8141 0.0000 0.0000
0.0000 9.0922 0.0000
-2.6441 0.0000 7.3447
Pu Bi Te
8 6 2
Direct
0.2456 0.1219 0.0004
0.2456 0.8781 0.5004
0.2496 0.3743 0.4985
0.2496 0.6257 0.9985
0.7504 0.3743 0.0015
0.7504 0.6257 0.5015
0.7544 0.1219 0.4996
0.7544 0.8781 0.9996
0.0000 0.3743 0.7500
0.0000 0.6257 0.2500
0.5000 0.1249 0.7500
0.5000 0.3734 0.2500
0.5000 0.6266 0.7500
0.5000 0.8751 0.2500
0.0000 0.1242 0.2500
0.0000 0.8758 0.7500
```

Most intense lines, 10° ≤ 2θ ≤ 90°, by intensity:
- 2θ 27.93, rel. 1000
- 2θ 39.91, rel. 526
- 2θ 65.31, rel. 254
- 2θ 49.19, rel. 146
- 2θ 49.62, rel. 142
- 2θ 57.71, rel. 137
- 2θ 39.65, rel. 134
- 2θ 40.16, rel. 129
- 2θ 72.12, rel. 96
- 2θ 72.80, rel. 94

***

(2)
For PuThBiTe, a structure optimized by DFT (PBE) gives the simulated X-ray diffraction stick pattern in this record (a wavelength of 1.5418 Å).

```
PuThBiTe
1.0
4.5144 0.0000 0.0000
0.0000 4.5144 0.0000
0.0000 0.0000 6.3843
Pu Th Bi Te
1 1 1 1
Direct
0.0000 0.0000 0.0000
0.5000 0.5000 0.5000
0.5000 0.5000 0.0000
0.0000 0.0000 0.5000
```

Most intense lines, 10° ≤ 2θ ≤ 90°, by intensity:
- 2θ 27.95, rel. 1000
- 2θ 39.94, rel. 786
- 2θ 65.37, rel. 379
- 2θ 49.45, rel. 287
- 2θ 72.54, rel. 282
- 2θ 57.76, rel. 136
- 2θ 86.17, rel. 93
- 2θ 24.15, rel. 47
- 2θ 47.22, rel. 26
- 2θ 13.87, rel. 21

***

(3)
For PuTh2Bi4, a structure optimized by DFT (PBE) gives the simulated X-ray diffraction stick pattern in this record (a wavelength of 1.5418 Å).

```
PuTh2Bi4
1.0
-4.7964 4.7964 4.8461
4.7964 -4.7964 4.8461
4.7964 4.7964 -4.8461
Pu Th Bi
2 4 8
Direct
0.0000 0.0000 0.0000
0.7500 0.2500 0.5000
0.2528 0.6250 0.1278
0.3750 0.5028 0.6278
0.4972 0.1250 0.8722
0.8750 0.7472 0.3722
0.1207 0.2147 0.7463
0.1244 0.7184 0.7537
0.2816 0.0353 0.4060
0.4684 0.3744 0.2537
0.6256 0.8793 0.0940
0.6293 0.8756 0.5940
0.7853 0.5316 0.9060
0.9647 0.3707 0.2463
```

Most intense lines, 10° ≤ 2θ ≤ 90°, by intensity:
- 2θ 29.43, rel. 1000
- 2θ 34.93, rel. 779
- 2θ 29.17, rel. 508
- 2θ 34.76, rel. 416
- 2θ 46.29, rel. 185
- 2θ 42.09, rel. 167
- 2θ 59.27, rel. 157
- 2θ 59.37, rel. 154
- 2θ 61.07, rel. 120
- 2θ 44.09, rel. 115

***

(4)
For Pu3Th2Bi4, a structure optimized by DFT (PBE) gives the simulated X-ray diffraction stick pattern in this record (a wavelength of 1.5418 Å).

```
Pu3Th2Bi4
1.0
7.9105 -2.3105 0.0000
7.9105 2.3105 0.0000
-1.8681 0.0000 7.7710
Pu Th Bi
3 2 4
Direct
0.0000 0.0000 0.0000
0.1135 0.1135 0.5835
0.8865 0.8865 0.4165
0.3405 0.3405 0.9855
0.6595 0.6595 0.0145
0.2364 0.2364 0.2973
0.4795 0.4795 0.7062
0.5205 0.5205 0.2938
0.7636 0.7636 0.7027
```

Most intense lines, 10° ≤ 2θ ≤ 90°, by intensity:
- 2θ 30.06, rel. 1000
- 2θ 31.97, rel. 698
- 2θ 38.98, rel. 318
- 2θ 34.65, rel. 318
- 2θ 34.17, rel. 271
- 2θ 52.77, rel. 208
- 2θ 39.10, rel. 142
- 2θ 28.59, rel. 141
- 2θ 65.15, rel. 116
- 2θ 46.78, rel. 115

***

(5)
For PuTh2Bi3, a structure optimized by DFT (PBE) gives the simulated X-ray diffraction stick pattern in this record (a wavelength of 1.5418 Å).

```
PuTh2Bi3
1.0
-2.2977 3.2441 6.8618
2.2977 -3.2441 6.8618
2.2977 3.2441 -6.8618
Pu Th Bi
1 2 3
Direct
0.0000 0.0000 0.0000
0.3326 0.3326 0.0000
0.6674 0.6674 0.0000
0.1645 0.6645 0.5000
0.5000 0.0000 0.5000
0.8355 0.3355 0.5000
```

Most intense lines, 10° ≤ 2θ ≤ 90°, by intensity:
- 2θ 27.51, rel. 1000
- 2θ 39.27, rel. 663
- 2θ 64.22, rel. 259
- 2θ 48.55, rel. 147
- 2θ 71.13, rel. 145
- 2θ 48.71, rel. 145
- 2θ 71.33, rel. 144
- 2θ 56.78, rel. 139
- 2θ 39.39, rel. 131
- 2θ 64.11, rel. 65

***

(6)
For PuTl2Bi, a structure optimized by DFT (PBE) gives the simulated X-ray diffraction stick pattern in this record (a wavelength of 1.5418 Å).

```
PuTl2Bi
1.0
4.7180 0.0000 0.0000
0.0000 4.7180 0.0000
0.0000 0.0000 5.1409
Pu Tl Bi
1 2 1
Direct
0.0000 0.0000 0.0000
0.0000 0.5000 0.5000
0.5000 0.0000 0.5000
0.5000 0.5000 0.0000
```

Most intense lines, 10° ≤ 2θ ≤ 90°, by intensity:
- 2θ 31.98, rel. 1000
- 2θ 38.15, rel. 314
- 2θ 65.10, rel. 271
- 2θ 52.66, rel. 253
- 2θ 34.91, rel. 199
- 2θ 60.76, rel. 166
- 2θ 86.49, rel. 131
- 2θ 66.86, rel. 125
- 2θ 55.05, rel. 111
- 2θ 86.17, rel. 66

***

(7)
For Pu2Tl3Bi3, a structure optimized by DFT (PBE) gives the simulated X-ray diffraction stick pattern in this record (a wavelength of 1.5418 Å).

```
Pu2Tl3Bi3
1.0
4.8205 0.0000 0.0000
0.0000 5.0206 0.0000
0.0000 0.0000 9.5747
Pu Tl Bi
2 3 3
Direct
0.0000 0.0000 0.2461
0.0000 0.0000 0.7539
0.0000 0.5000 0.5000
0.5000 0.5000 0.2561
0.5000 0.5000 0.7439
0.0000 0.5000 0.0000
0.5000 0.0000 0.0000
0.5000 0.0000 0.5000
```

Most intense lines, 10° ≤ 2θ ≤ 90°, by intensity:
- 2θ 31.81, rel. 1000
- 2θ 35.77, rel. 184
- 2θ 37.31, rel. 165
- 2θ 37.58, rel. 160
- 2θ 61.80, rel. 156
- 2θ 63.86, rel. 142
- 2θ 64.22, rel. 138
- 2θ 66.46, rel. 125
- 2θ 52.64, rel. 125
- 2θ 52.85, rel. 123

***

(8)
For PuVBi, a structure optimized by DFT (PBE) gives the simulated X-ray diffraction stick pattern in this record (a wavelength of 1.5418 Å).

```
PuVBi
1.0
2.9726 -4.1858 0.0000
2.9726 4.1858 0.0000
0.0000 0.0000 6.3490
Pu V Bi
2 2 2
Direct
0.1718 0.8282 0.7500
0.8282 0.1718 0.2500
0.5000 0.5000 0.0000
0.5000 0.5000 0.5000
0.2018 0.7982 0.2500
0.7982 0.2018 0.7500
```

Most intense lines, 10° ≤ 2θ ≤ 90°, by intensity:
- 2θ 35.52, rel. 1000
- 2θ 30.06, rel. 579
- 2θ 28.11, rel. 428
- 2θ 45.91, rel. 373
- 2θ 47.18, rel. 367
- 2θ 33.75, rel. 352
- 2θ 21.23, rel. 338
- 2θ 41.62, rel. 311
- 2θ 18.30, rel. 219
- 2θ 64.89, rel. 180

***

(9)
For Y3PuBi4, a structure optimized by DFT (PBE) gives the simulated X-ray diffraction stick pattern in this record (a wavelength of 1.5418 Å).

```
Y3PuBi4
1.0
4.5013 -6.3586 0.0000
4.5013 6.3586 0.0000
0.0000 0.0000 4.5013
Y Pu Bi
3 1 4
Direct
0.0000 0.0000 0.0000
0.0000 0.5000 0.5000
0.5000 0.0000 0.5000
0.5000 0.5000 0.0000
0.2484 0.2484 0.5000
0.2492 0.7508 0.0000
0.7508 0.2492 0.0000
0.7516 0.7516 0.5000
```

Most intense lines, 10° ≤ 2θ ≤ 90°, by intensity:
- 2θ 28.04, rel. 1000
- 2θ 40.08, rel. 782
- 2θ 65.61, rel. 373
- 2θ 49.63, rel. 284
- 2θ 72.81, rel. 278
- 2θ 57.97, rel. 135
- 2θ 24.23, rel. 105
- 2θ 86.52, rel. 92
- 2θ 47.38, rel. 60
- 2θ 12.04, rel. 44

***

(10)
For Y2PuBi3, a structure optimized by DFT (PBE) gives the simulated X-ray diffraction stick pattern in this record (a wavelength of 1.5418 Å).

```
Y2PuBi3
1.0
-2.2550 3.1845 6.7490
2.2550 -3.1845 6.7490
2.2550 3.1845 -6.7490
Y Pu Bi
2 1 3
Direct
0.1663 0.1663 0.0000
0.8337 0.8337 0.0000
0.5000 0.5000 0.0000
0.0000 0.5000 0.5000
0.3325 0.8325 0.5000
0.6675 0.1675 0.5000
```

Most intense lines, 10° ≤ 2θ ≤ 90°, by intensity:
- 2θ 28.01, rel. 1000
- 2θ 40.03, rel. 783
- 2θ 65.55, rel. 312
- 2θ 49.57, rel. 285
- 2θ 72.67, rel. 140
- 2θ 72.78, rel. 139
- 2θ 57.91, rel. 135
- 2θ 24.20, rel. 71
- 2θ 65.46, rel. 64
- 2θ 86.41, rel. 62

***

(11)
For Pu2ZnBi4, a structure optimized by DFT (PBE) gives the simulated X-ray diffraction stick pattern in this record (a wavelength of 1.5418 Å).

```
Pu2ZnBi4
1.0
4.5997 0.0000 0.0000
0.0000 4.5997 0.0000
0.0000 0.0000 9.5715
Pu Zn Bi
2 1 4
Direct
0.0000 0.5000 0.2331
0.5000 0.0000 0.7669
0.5000 0.5000 0.0000
0.0000 0.0000 0.5000
0.0000 0.5000 0.8305
0.5000 0.0000 0.1695
0.5000 0.5000 0.5000
```

Most intense lines, 10° ≤ 2θ ≤ 90°, by intensity:
- 2θ 33.31, rel. 1000
- 2θ 39.17, rel. 450
- 2θ 29.00, rel. 368
- 2θ 67.28, rel. 274
- 2θ 27.97, rel. 234
- 2θ 48.81, rel. 213
- 2θ 56.60, rel. 157
- 2θ 34.20, rel. 126
- 2θ 51.72, rel. 122
- 2θ 55.72, rel. 119

***

(12)
For Rb3Bi4, a structure optimized by DFT (PBE) gives the simulated X-ray diffraction stick pattern in this record (a wavelength of 1.5418 Å).

```
Rb3Bi4
1.0
-2.6282 2.8316 11.4332
2.6282 -2.8316 11.4332
2.6282 2.8316 -11.4332
Rb Bi
3 4
Direct
0.0000 0.0000 0.0000
0.1862 0.6862 0.5000
0.8138 0.3138 0.5000
0.3609 0.8609 0.5000
0.4306 0.4306 0.0000
0.5694 0.5694 0.0000
0.6391 0.1391 0.5000
```

Most intense lines, 10° ≤ 2θ ≤ 90°, by intensity:
- 2θ 24.38, rel. 1000
- 2θ 16.12, rel. 985
- 2θ 32.26, rel. 766
- 2θ 25.03, rel. 604
- 2θ 45.79, rel. 591
- 2θ 33.06, rel. 576
- 2θ 31.60, rel. 516
- 2θ 34.11, rel. 422
- 2θ 27.93, rel. 398
- 2θ 47.18, rel. 344

***

(13)
For Rb5Bi2, a structure optimized by DFT (PBE) gives the simulated X-ray diffraction stick pattern in this record (a wavelength of 1.5418 Å).

```
Rb5Bi2
1.0
-4.7634 9.3933 4.0446
4.7634 -9.3933 4.0446
4.7634 9.3933 -4.0446
Rb Bi
10 4
Direct
0.0123 0.2500 0.7623
0.0792 0.6480 0.7272
0.2500 0.2500 0.0000
0.4208 0.1480 0.5687
0.4877 0.2500 0.2377
0.5123 0.7500 0.7623
0.5792 0.8520 0.4313
0.7500 0.7500 0.0000
0.9208 0.3520 0.2728
0.9877 0.7500 0.2377
0.1229 0.2581 0.3810
0.3771 0.7581 0.1352
0.6229 0.2419 0.8648
0.8771 0.7419 0.6190
```

Most intense lines, 10° ≤ 2θ ≤ 90°, by intensity:
- 2θ 17.20, rel. 1000
- 2θ 26.65, rel. 994
- 2θ 29.14, rel. 923
- 2θ 28.96, rel. 900
- 2θ 31.73, rel. 574
- 2θ 32.06, rel. 498
- 2θ 48.75, rel. 304
- 2θ 48.40, rel. 304
- 2θ 52.91, rel. 304
- 2θ 50.13, rel. 261

***

(14)
For RbBi12Rh4, a structure optimized by DFT (PBE) gives the simulated X-ray diffraction stick pattern in this record (a wavelength of 1.5418 Å).

```
RbBi12Rh4
1.0
-4.9294 4.9294 4.9294
4.9294 -4.9294 4.9294
4.9294 4.9294 -4.9294
Rb Bi Rh
1 12 4
Direct
0.0000 0.0000 0.0000
0.1603 0.4999 0.3396
0.1603 0.8208 0.6604
0.1792 0.3396 0.8397
0.3396 0.1603 0.4999
0.3396 0.8397 0.1792
0.4999 0.3396 0.1603
0.5001 0.6604 0.8397
0.6604 0.1603 0.8208
0.6604 0.8397 0.5001
0.8208 0.6604 0.1603
0.8397 0.1792 0.3396
0.8397 0.5001 0.6604
0.0000 0.0000 0.5000
0.0000 0.5000 0.0000
0.5000 0.0000 0.0000
0.5000 0.5000 0.5000
```

Most intense lines, 10° ≤ 2θ ≤ 90°, by intensity:
- 2θ 28.63, rel. 1000
- 2θ 34.03, rel. 394
- 2θ 47.00, rel. 264
- 2θ 64.06, rel. 206
- 2θ 40.94, rel. 204
- 2θ 45.05, rel. 195
- 2θ 54.25, rel. 174
- 2θ 83.14, rel. 138
- 2θ 55.96, rel. 113
- 2θ 73.10, rel. 98